The following is a simulated powder diffractogram of MgCd2Pd2. It was derived from a DFT-relaxed cell (GGA-PBE, Alexandria), using copper Kα.

Largest 8 diffraction maxima, most intense first, 10 to 80 degrees two-theta:
2theta  Rel. int.
40.66  100
38.81  29
20.19  26
39.12  26
71.52  18
56.29  17
37.90  17
32.34  16

Structural model:
```
MgCd2Pd2
1.0
-2.320 3.022 6.907
2.320 -3.022 6.907
2.320 3.022 -6.907
Mg Cd Pd
2 4 4
Cartesian
0.000 1.511 2.215
2.320 1.511 4.692
2.320 -1.511 4.817
2.320 1.511 0.003
0.000 1.511 6.905
0.000 4.533 2.091
2.320 0.032 2.387
0.000 0.032 4.520
2.320 2.990 2.387
0.000 2.990 4.520
```

---

The following is a simulated powder diffractogram of CaTb2PmTe4. It was derived from a DFT-relaxed cell (GGA-PBE, Alexandria), using copper Kα.

Largest 8 diffraction maxima, most intense first, 10 to 80 degrees two-theta:
2theta  Rel. int.
28.53  100
40.72  25
40.88  25
50.79  13
40.48  13
59.06  13
41.08  12
66.77  12

Structural model:
```
CaTb2PmTe4
1.0
7.658 0.000 0.000
0.000 4.395 0.000
-2.511 0.000 7.278
Ca Tb Pm Te
1 2 1 4
Cartesian
0.000 0.000 0.000
2.574 0.000 3.639
3.829 2.197 0.000
-1.255 2.197 3.639
1.323 2.197 1.814
0.063 0.000 5.492
5.085 0.000 1.786
3.825 2.197 5.464
```

---

The following is a simulated powder diffractogram of Ru6Br7. It was derived from a DFT-relaxed cell (GGA-PBE, Alexandria), using copper Kα.

Largest 8 diffraction maxima, most intense first, 10 to 80 degrees two-theta:
2theta  Rel. int.
15.04  100
13.55  20
46.24  16
49.41  14
30.35  14
40.53  14
18.16  11
30.65  11

Structural model:
```
Ru6Br7
1.0
5.889 3.400 5.677
-5.889 3.400 5.677
0.000 -6.800 5.677
Ru Br
6 7
Cartesian
0.000 0.000 1.062
0.000 0.000 3.352
0.000 0.000 6.003
0.000 0.000 11.027
0.000 0.000 13.678
0.000 0.000 15.968
-1.866 -1.077 4.574
1.866 -1.077 4.574
0.000 2.154 4.574
0.000 0.000 8.515
0.000 -2.154 12.456
-1.866 1.077 12.456
1.866 1.077 12.456
```